Structure and calculated PXRD pattern of Rb3NpO9 (a DFT-relaxed cell (GGA-PBE, Alexandria); Cu Kα (λ = 1.5418 Å)).

Lattice parameters (Å, degrees): 11.2291 11.4208 7.9981 90.00 95.41 90.00
Space group C2/c (No. 15)
Unique sites:
1 Rb 0.0000 0.0263 0.2500 x4
2 Rb 0.1782 0.3869 0.4374 x8
3 Np 0.2500 0.2500 0.0000 x4
4 O 0.0000 0.3351 0.7500 x4
5 O 0.0239 0.2566 0.9166 x8
6 O 0.0645 0.1795 0.5550 x8
7 O 0.2033 0.1836 0.1989 x8
8 O 0.2404 0.4010 0.0956 x8

Main lines, in order of rising 2θ (10 to 90 degrees two-theta):
2theta  intensity
15.2  53
15.5  43
15.9  57
16.2  44
22.3  91
25.6  44
26.2  60
26.8  100
27.3  50
28.5  56